No. 1
# ScBe8Co3
Theoretical powder diffraction line list, copper Kα. Input: a structure optimized by DFT (PBE).

Crystal structure
```
data_ScBe8Co3
_space_group_name_H-M_alt 'P 3 m 1'
_space_group_IT_number 156
_space_group_name_Hall 'P 3 -2"'
_cell_length_a 4.2626
_cell_length_b 4.2626
_cell_length_c 7.0562
_cell_angle_alpha 90.00
_cell_angle_beta 90.00
_cell_angle_gamma 120.00
loop_
_atom_site_label
_atom_site_type_symbol
_atom_site_fract_x
_atom_site_fract_y
_atom_site_fract_z
_atom_site_occupancy
Sc1 Sc 0.0000 0.0000 0.0000 1
Be1 Be 0.1650 0.3300 0.6726 1
Be2 Be 0.3333 0.6667 0.4409 1
Be3 Be 0.3333 0.6667 0.9272 1
Be4 Be 0.5036 0.0071 0.2115 1
Co1 Co 0.0000 0.0000 0.3729 1
Co2 Co 0.6667 0.3333 0.5033 1
Co3 Co 0.6667 0.3333 0.8642 1
```

Top 10 peaks for 2θ from 10° to 80°, by intensity:
- hkl 1 0 3, 45.74°, 1.984 Å, intensity 100
- hkl 1 1 0, 42.41°, 2.131 Å, intensity 84
- hkl 1 0 0, 24.11°, 3.692 Å, intensity 70
- hkl 1 1 2, 50.00°, 1.824 Å, intensity 59
- hkl 1 0 1, 27.26°, 3.271 Å, intensity 56
- hkl 0 0 2, 25.24°, 3.528 Å, intensity 37
- hkl 2 1 3, 79.95°, 1.200 Å, intensity 33
- hkl 1 0 2, 35.19°, 2.551 Å, intensity 28
- hkl 0 2 1, 51.15°, 1.786 Å, intensity 22
- hkl 2 0 3, 64.14°, 1.452 Å, intensity 21

=====

No. 2
# La6PS2Cl3
Theoretical powder diffraction line list, copper Kα. Input: a structure optimized by DFT (PBE).

Crystal structure
```
data_La6PS2Cl3
_space_group_name_H-M_alt 'C 1 2/m 1'
_space_group_IT_number 12
_space_group_name_Hall '-C 2y'
_cell_length_a 7.238
_cell_length_b 12.523
_cell_length_c 7.270
_cell_angle_alpha 90.00
_cell_angle_beta 109.31
_cell_angle_gamma 90.00
loop_
_atom_site_label
_atom_site_type_symbol
_atom_site_fract_x
_atom_site_fract_y
_atom_site_fract_z
_atom_site_occupancy
La1 La 0.242 0.000 0.228 1
La2 La 0.243 0.333 0.229 1
P1 P 0.000 0.500 0.000 1
S1 S 0.000 0.167 0.000 1
Cl1 Cl 0.000 0.000 0.500 1
Cl2 Cl 0.000 0.336 0.500 1
```

Top 10 peaks for 2θ from 10° to 80°, by intensity:
- hkl 1 3 1, 30.20°, 2.959 Å, intensity 100
- hkl 2 0 0, 26.11°, 3.413 Å, intensity 51
- hkl 0 6 0, 43.33°, 2.088 Å, intensity 37
- hkl 1 3 -3, 43.15°, 2.097 Å, intensity 34
- hkl 4 0 0, 53.72°, 1.706 Å, intensity 19
- hkl 4 0 -2, 51.22°, 1.784 Å, intensity 19
- hkl 5 3 -3, 71.39°, 1.321 Å, intensity 16
- hkl 0 0 2, 25.97°, 3.431 Å, intensity 16
- hkl 3 3 -5, 71.13°, 1.325 Å, intensity 13
- hkl 4 0 -4, 62.80°, 1.480 Å, intensity 11

=====

No. 3
# Cu2Ni13
Theoretical powder diffraction line list, copper Kα. Input: a structure optimized by DFT (PBE).

Crystal structure
```
data_Cu2Ni13
_space_group_name_H-M_alt 'R -3 m'
_space_group_IT_number 166
_space_group_name_Hall '-R 3 2"'
_cell_length_a 6.4823
_cell_length_b 6.4823
_cell_length_c 15.9739
_cell_angle_alpha 90.00
_cell_angle_beta 90.00
_cell_angle_gamma 120.00
loop_
_atom_site_label
_atom_site_type_symbol
_atom_site_fract_x
_atom_site_fract_y
_atom_site_fract_z
_atom_site_occupancy
Cu1 Cu 0.0000 0.0000 0.2360 1
Ni1 Ni 0.0000 0.0000 0.5000 1
Ni2 Ni 0.0877 0.5438 0.3011 1
Ni3 Ni 0.0937 0.5468 0.5631 1
```

Top 10 peaks for 2θ from 10° to 80°, by intensity:
- hkl 2 1 4, 48.59°, 1.874 Å, intensity 100
- hkl 0 2 1, 32.38°, 2.765 Å, intensity 73
- hkl 0 3 3, 51.78°, 1.765 Å, intensity 63
- hkl 1 0 7, 42.77°, 2.114 Å, intensity 37
- hkl 0 1 8, 48.38°, 1.881 Å, intensity 36
- hkl 0 2 7, 51.67°, 1.769 Å, intensity 26
- hkl 1 1 3, 32.33°, 2.769 Å, intensity 17
- hkl 0 2 4, 39.23°, 2.296 Å, intensity 14
- hkl 2 2 0, 56.81°, 1.621 Å, intensity 13
- hkl 2 1 1, 43.00°, 2.103 Å, intensity 12